1.
The following is a computed X-ray diffraction stick pattern of CsAl2CuH8. It was derived from DFT lattice parameters and positions (PBE), using Cu Kα.

Principal peaks in the range 10 to 90 degrees two-theta, in order of rising 2θ:
- d = 4.238 Å, I 25
- d = 3.982 Å, I 47
- d = 3.500 Å, I 100
- d = 3.235 Å, I 13
- d = 2.533 Å, I 31
- d = 2.421 Å, I 38
- d = 2.174 Å, I 18
- d = 2.102 Å, I 22
- d = 1.991 Å, I 19
- d = 1.538 Å, I 17

Atomic structure:
```
CsAl2CuH8
1.0
2.4206 1.3976 8.4763
-2.4206 1.3976 8.4763
0.0000 -2.7951 8.4763
Cs Al Cu H
1 2 1 8
Direct
0.0000 0.0000 0.0000
0.2240 0.2240 0.2240
0.7760 0.7760 0.7760
0.5000 0.5000 0.5000
0.1409 0.4800 0.7542
0.2458 0.8591 0.5200
0.2893 0.2893 0.2893
0.4800 0.7542 0.1409
0.5200 0.2458 0.8591
0.7107 0.7107 0.7107
0.7542 0.1409 0.4800
0.8591 0.5200 0.2458
```

2.
The following is a computed X-ray diffraction stick pattern of Cs3DyAl2O6. It was derived from DFT lattice parameters and positions (PBE), using Cu Kα.

Principal peaks in the range 10 to 90 degrees two-theta, in order of rising 2θ:
- d = 5.350 Å, I 20
- d = 4.397 Å, I 28
- d = 3.130 Å, I 100
- d = 3.089 Å, I 82
- d = 2.527 Å, I 20
- d = 2.199 Å, I 42
- d = 1.791 Å, I 38
- d = 1.783 Å, I 17
- d = 1.637 Å, I 21
- d = 1.385 Å, I 17

Atomic structure:
```
Cs3DyAl2O6
1.0
6.1775 0.0000 0.0000
-3.0887 5.3498 0.0000
0.0000 0.0000 7.7195
Cs Dy Al O
3 1 2 6
Direct
0.0000 0.0000 0.0000
0.3333 0.6667 0.7622
0.6667 0.3333 0.2378
0.0000 0.0000 0.5000
0.3333 0.6667 0.3235
0.6667 0.3333 0.6765
0.1729 0.3459 0.3199
0.1729 0.8271 0.3199
0.3459 0.1729 0.6801
0.6541 0.8271 0.3199
0.8271 0.1729 0.6801
0.8271 0.6541 0.6801
```

3.
The following is a computed X-ray diffraction stick pattern of Cs2AlF6. It was derived from DFT lattice parameters and positions (PBE), using Cu Kα.

Principal peaks in the range 10 to 90 degrees two-theta, in order of rising 2θ:
- d = 4.854 Å, I 30
- d = 3.769 Å, I 100
- d = 3.172 Å, I 64
- d = 2.924 Å, I 19
- d = 2.656 Å, I 23
- d = 2.427 Å, I 63
- d = 2.150 Å, I 18
- d = 2.006 Å, I 21
- d = 1.928 Å, I 23
- d = 1.462 Å, I 21

Atomic structure:
```
Cs2AlF6
1.0
6.3448 0.0000 0.0000
-3.1724 5.4948 0.0000
0.0000 0.0000 10.3585
Cs Al F
4 2 12
Direct
0.0000 0.0000 0.0000
0.0000 0.0000 0.5000
0.3333 0.6667 0.2795
0.6667 0.3333 0.7795
0.3333 0.6667 0.6646
0.6667 0.3333 0.1646
0.0647 0.5324 0.5602
0.1953 0.3905 0.7615
0.1953 0.8047 0.7615
0.3905 0.1953 0.2615
0.4676 0.5324 0.5602
0.4676 0.9353 0.5602
0.5324 0.0647 0.0602
0.5324 0.4676 0.0602
0.6095 0.8047 0.7615
0.8047 0.1953 0.2615
0.8047 0.6095 0.2615
0.9353 0.4676 0.0602
```